1.
This entry pairs a crystal structure of TbY6Ho with its computed XRD peak list. Radiation: Cu Kα (λ = 1.5418 Å). Structure: a DFT-relaxed cell (GGA-PBE, Alexandria).
Kinematic intensities with the Lorentz-polarization factor, no thermal factor.

Atomic structure:
```
8
Lattice="6.5631 0.0000 0.0000 -0.0090 6.7933 0.0000 -1.4759 -3.3845 5.8602" Properties=species:S:1:pos:R:3 pbc="T T T"
Tb 0.0000 0.0000 0.0000
Y 0.8088 2.2758 2.8261
Y 1.6388 3.7384 0.0050
Y 0.9940 -1.1251 3.0504
Y 4.0843 4.5340 2.8099
Y 3.4395 -0.3295 5.8552
Y 4.2694 1.1330 3.0342
Ho 3.2815 0.0000 0.0000
```

Main lines, by angle (10 to 90 degrees two-theta):
d [Å]	two_theta	Rel. int.
3.137	28.5	36
2.954	30.3	52
2.939	30.4	100
2.930	30.5	87
2.802	31.9	38
2.664	33.6	54
2.612	34.3	44
2.550	35.2	46


2.
This entry pairs a crystal structure of Tb7Y16Ho6 with its computed XRD peak list. Radiation: Cu Kα (λ = 1.5418 Å). Structure: a DFT-relaxed cell (GGA-PBE, Alexandria).
Kinematic intensities with the Lorentz-polarization factor, no thermal factor.

Atomic structure:
```
29
Lattice="0.0000 7.8890 7.8890 7.8890 0.0000 7.8890 7.8890 7.8890 0.0000" Properties=species:S:1:pos:R:3 pbc="T T T"
Tb 0.0000 0.0000 0.0000
Tb 3.9445 3.9445 0.0000
Tb 3.9445 0.0000 3.9445
Tb 7.8890 3.9445 3.9445
Tb 0.0000 3.9445 3.9445
Tb 3.9445 7.8890 3.9445
Tb 3.9445 3.9445 7.8890
Y 10.2638 5.5142 5.5142
Y 1.9532 1.9532 1.9532
Y 5.9358 5.9358 1.9532
Y 5.9358 1.9532 5.9358
Y 5.5142 5.5142 5.5142
Y 10.2638 10.2638 5.5142
Y 10.2638 5.5142 10.2638
Y 13.8248 9.8422 9.8422
Y 1.9532 5.9358 5.9358
Y 5.5142 10.2638 5.5142
Y 5.5142 5.5142 10.2638
Y 10.2638 10.2638 10.2638
Y 9.8422 13.8248 9.8422
Y 9.8422 9.8422 13.8248
Y 13.8248 13.8248 13.8248
Y 5.5142 10.2638 10.2638
Ho 7.8890 7.8890 4.2665
Ho 7.8890 4.2665 7.8890
Ho 11.5115 7.8890 7.8890
Ho 4.2665 7.8890 7.8890
Ho 7.8890 11.5115 7.8890
Ho 7.8890 7.8890 11.5115
```

Main lines, by angle (10 to 90 degrees two-theta):
d [Å]	two_theta	Rel. int.
5.578	15.9	8
3.221	27.7	9
3.036	29.4	11
2.789	32.1	100
2.054	44.1	8
1.972	46.0	15
1.610	57.2	27
1.247	76.3	8


3.
This entry pairs a crystal structure of Tb4Y4Ho3 with its computed XRD peak list. Radiation: Cu Kα (λ = 1.5418 Å). Structure: a DFT-relaxed cell (GGA-PBE, Alexandria).
Kinematic intensities with the Lorentz-polarization factor, no thermal factor.

Atomic structure:
```
11
Lattice="17.9887 -1.7575 0.0000 17.9887 1.7575 0.0000 -0.8703 0.0000 5.5332" Properties=species:S:1:pos:R:3 pbc="T T T"
Tb 1.5982 0.0000 0.2491
Tb 5.8876 0.0000 3.7609
Tb 29.2194 0.0000 1.7722
Tb 33.5088 0.0000 5.2841
Y 2.7268 0.0000 3.2620
Y 8.1769 0.0000 1.2876
Y 26.9302 0.0000 4.2456
Y 32.3803 0.0000 2.2712
Ho 12.3289 0.0000 4.7794
Ho 17.5535 0.0000 2.7666
Ho 22.7782 0.0000 0.7537
```

Main lines, by angle (10 to 90 degrees two-theta):
d [Å]	two_theta	Rel. int.
2.936	30.4	12
2.890	30.9	26
2.823	31.7	56
2.799	32.0	100
2.011	45.1	18
1.616	57.0	19
1.488	62.4	29
1.190	80.8	14


4.
This entry pairs a crystal structure of Tb3Y2Ho5 with its computed XRD peak list. Radiation: Cu Kα (λ = 1.5418 Å). Structure: a DFT-relaxed cell (GGA-PBE, Alexandria).
Kinematic intensities with the Lorentz-polarization factor, no thermal factor.

Atomic structure:
```
20
Lattice="5.3161 -7.7819 0.0000 5.3161 7.7819 0.0000 -5.2796 0.0000 7.8844" Properties=species:S:1:pos:R:3 pbc="T T T"
Tb 1.2671 1.9608 0.3807
Tb 1.3564 4.2091 5.9133
Tb -1.3727 -1.9608 4.3230
Tb 6.7254 1.9608 3.5615
Tb 3.9962 -4.2091 1.9711
Tb 4.0856 -1.9608 7.5037
Y 1.2724 1.8869 3.5721
Y -1.3674 -1.8869 7.5144
Y 6.7200 1.8869 0.3701
Y 4.0802 -1.8869 4.3123
Ho 1.3564 7.4469 5.9133
Ho -1.3001 1.8917 6.1369
Ho 3.9962 3.5327 1.9711
Ho 1.3397 -1.8917 2.1946
Ho 3.9962 0.4337 1.9711
Ho 1.3564 -0.4337 5.9133
Ho 4.0129 1.8917 5.6898
Ho 1.3564 -3.5327 5.9133
Ho 6.6527 -1.8917 1.7476
Ho 3.9962 -7.4469 1.9711
```

Main lines, by angle (10 to 90 degrees two-theta):
d [Å]	two_theta	Rel. int.
2.939	30.4	47
2.923	30.6	100
2.914	30.7	57
2.769	32.3	20
2.658	33.7	46
1.846	49.4	20
1.580	58.4	20
1.397	67.0	21


5.
This entry pairs a crystal structure of Tb3Y5Ho3 with its computed XRD peak list. Radiation: Cu Kα (λ = 1.5418 Å). Structure: a DFT-relaxed cell (GGA-PBE, Alexandria).
Kinematic intensities with the Lorentz-polarization factor, no thermal factor.

Atomic structure:
```
11
Lattice="9.6549 0.0000 0.0000 -4.8274 8.3614 0.0000 0.0000 0.0000 5.5080" Properties=species:S:1:pos:R:3 pbc="T T T"
Tb -2.6468 4.5843 0.0000
Tb 2.1807 3.7770 0.0000
Tb 5.2935 0.0000 0.0000
Y -3.5730 6.1885 2.7540
Y 1.2545 2.1728 2.7540
Y 0.0000 5.5742 2.7540
Y 4.8274 2.7871 2.7540
Y 7.1459 0.0000 2.7540
Ho -1.8119 3.1382 2.7540
Ho 3.6237 0.0000 2.7540
Ho 3.0156 5.2231 2.7540
```

Main lines, by angle (10 to 90 degrees two-theta):
d [Å]	two_theta	Rel. int.
8.361	10.6	68
4.181	21.3	46
3.630	24.5	60
3.330	26.8	63
2.754	32.5	67
2.741	32.7	100
2.487	36.1	81
2.137	42.3	64


6.
This entry pairs a crystal structure of Tb5Y2Ho12 with its computed XRD peak list. Radiation: Cu Kα (λ = 1.5418 Å). Structure: a DFT-relaxed cell (GGA-PBE, Alexandria).
Kinematic intensities with the Lorentz-polarization factor, no thermal factor.

Atomic structure:
```
19
Lattice="6.2264 0.0000 0.0000 1.6365 8.6463 0.0000 1.9862 3.9494 11.1845" Properties=species:S:1:pos:R:3 pbc="T T T"
Tb 0.0000 0.0000 0.0000
Tb 1.8942 2.8591 0.1152
Tb 4.6468 9.2592 5.6848
Tb 5.2023 3.3366 5.4997
Tb 7.9549 9.7367 11.0692
Y 3.2884 6.0697 4.8354
Y 6.5607 6.5261 6.3491
Ho 2.0726 3.7050 7.3871
Ho 2.0077 3.0734 3.6315
Ho 3.6309 6.8148 7.9727
Ho 2.9430 5.7484 1.5665
Ho 4.8006 9.6854 9.3173
Ho 4.7126 8.6870 1.9442
Ho 5.1364 3.9088 9.2403
Ho 5.0484 2.9104 1.8672
Ho 6.9060 6.8474 9.6180
Ho 6.2182 5.7810 3.2118
Ho 7.8414 9.5224 7.5530
Ho 7.7764 8.8908 3.7974
```

Main lines, by angle (10 to 90 degrees two-theta):
d [Å]	two_theta	Rel. int.
3.054	29.2	24
3.037	29.4	44
2.869	31.2	64
2.753	32.5	53
2.743	32.6	100
2.728	32.8	48
1.635	56.3	21
1.537	60.2	27


7.
This entry pairs a crystal structure of Tb10YHo4 with its computed XRD peak list. Radiation: Cu Kα (λ = 1.5418 Å). Structure: a DFT-relaxed cell (GGA-PBE, Alexandria).
Kinematic intensities with the Lorentz-polarization factor, no thermal factor.

Atomic structure:
```
15
Lattice="-6.0740 6.0740 3.8412 6.0740 -6.0740 3.8412 6.0740 6.0740 -3.8412" Properties=species:S:1:pos:R:3 pbc="T T T"
Tb 4.8592 3.6272 -1.9286
Tb 2.4468 -1.2148 1.9126
Tb 6.0740 0.0000 1.9206
Tb 3.6272 7.2887 -1.9286
Tb 1.2148 2.4468 1.9126
Tb 4.8592 3.6272 1.9286
Tb 2.4468 -1.2148 5.7698
Tb 0.0000 6.0740 1.9206
Tb 3.6272 7.2887 1.9286
Tb 1.2148 2.4468 5.7698
Y 0.0000 0.0000 3.8412
Ho 3.6413 1.2194 0.0000
Ho 4.8546 -2.4327 3.8412
Ho 1.2194 8.5066 0.0000
Ho 2.4327 4.8546 3.8412
```

Main lines, by angle (10 to 90 degrees two-theta):
d [Å]	two_theta	Rel. int.
4.436	20.0	24
3.841	23.2	16
2.716	33.0	100
2.316	38.9	13
1.921	47.3	18
1.568	58.9	38
1.358	69.2	12
1.215	78.8	16


8.
This entry pairs a crystal structure of TbY3Ho4 with its computed XRD peak list. Radiation: Cu Kα (λ = 1.5418 Å). Structure: a DFT-relaxed cell (GGA-PBE, Alexandria).
Kinematic intensities with the Lorentz-polarization factor, no thermal factor.

Atomic structure:
```
8
Lattice="11.7171 -1.7360 0.0000 11.7171 1.7360 0.0000 -1.8815 0.0000 6.3738" Properties=species:S:1:pos:R:3 pbc="T T T"
Tb 0.0000 0.0000 0.0000
Y 8.5475 0.0000 0.7574
Y 10.7763 0.0000 3.1869
Y 13.0051 0.0000 5.6164
Ho 5.1527 0.0000 1.5494
Ho 7.6036 0.0000 4.0277
Ho 13.9490 0.0000 2.3461
Ho 16.3999 0.0000 4.8244
```

Main lines, by angle (10 to 90 degrees two-theta):
d [Å]	two_theta	Rel. int.
3.077	29.0	33
2.860	31.3	100
2.809	31.9	45
2.748	32.6	22
2.699	33.2	51
2.387	37.7	21
2.075	43.6	18
1.484	62.6	27